1.
Simulated powder diffraction line list of Rb2LiRhCl6 for a wavelength of 1.5418 Å, from a crystal structure in the Materials Project, relaxed with GGA-PBE.
Neutral-atom scattering factors, no anomalous dispersion.

Peak list (12 most intense, 2θ from 15° to 90°, by angle)
Position (°2θ)	I/Imax
20.52	55
24.99	38
29.06	11
29.40	14
32.55	100
32.86	18
41.47	13
41.73	38
49.26	20
51.29	26
54.18	22
62.08	13

```
data_Rb2LiRhCl6
_symmetry_space_group_name_H-M 'P 1'
_symmetry_Int_Tables_number 1
_cell_length_a 7.125
_cell_length_b 7.125
_cell_length_c 6.075
_cell_angle_alpha 90.00
_cell_angle_beta 90.00
_cell_angle_gamma 120.00
loop_
_symmetry_equiv_pos_as_xyz
'x,y,z'
loop_
_atom_site_label
_atom_site_type_symbol
_atom_site_fract_x
_atom_site_fract_y
_atom_site_fract_z
Rb1 Rb 0.333 0.667 0.255
Rb2 Rb 0.667 0.333 0.745
Li1 Li 0.000 0.000 0.000
Rh1 Rh 0.000 0.000 0.500
Cl1 Cl 0.156 0.312 0.727
Cl2 Cl 0.156 0.844 0.727
Cl3 Cl 0.312 0.156 0.273
Cl4 Cl 0.688 0.844 0.727
Cl5 Cl 0.844 0.156 0.273
Cl6 Cl 0.844 0.688 0.273
```

---

2.
Simulated powder diffraction line list of Rb2LiRuCl6 for a wavelength of 1.5418 Å, from a crystal structure in the Materials Project, relaxed with GGA-PBE.
Neutral-atom scattering factors, no anomalous dispersion.

Peak list (12 most intense, 2θ from 15° to 90°, by angle)
Position (°2θ)	I/Imax
20.57	54
25.04	37
29.51	14
32.62	100
32.97	18
41.56	14
41.84	37
49.38	18
51.38	25
54.36	21
62.20	13
83.97	11

```
data_Rb2LiRuCl6
_symmetry_space_group_name_H-M 'P 1'
_symmetry_Int_Tables_number 1
_cell_length_a 7.113
_cell_length_b 7.113
_cell_length_c 6.053
_cell_angle_alpha 90.00
_cell_angle_beta 90.00
_cell_angle_gamma 120.00
loop_
_symmetry_equiv_pos_as_xyz
'x,y,z'
loop_
_atom_site_label
_atom_site_type_symbol
_atom_site_fract_x
_atom_site_fract_y
_atom_site_fract_z
Rb1 Rb 0.333 0.667 0.247
Rb2 Rb 0.667 0.333 0.753
Li1 Li 0.000 0.000 0.000
Ru1 Ru 0.000 0.000 0.500
Cl1 Cl 0.157 0.315 0.731
Cl2 Cl 0.157 0.843 0.731
Cl3 Cl 0.315 0.157 0.269
Cl4 Cl 0.685 0.843 0.731
Cl5 Cl 0.843 0.157 0.269
Cl6 Cl 0.843 0.685 0.269
```

---

3.
Simulated powder diffraction line list of Rb2LiSbCl6 for a wavelength of 1.5418 Å, from a crystal structure in the Materials Project, relaxed with GGA-PBE.
Neutral-atom scattering factors, no anomalous dispersion.

Peak list (12 most intense, 2θ from 15° to 90°, by angle)
Position (°2θ)	I/Imax
23.91	96
28.12	34
29.39	54
34.07	100
37.23	18
42.05	44
48.95	66
55.19	20
58.13	18
60.98	22
66.47	23
81.85	29

```
data_Rb2LiSbCl6
_symmetry_space_group_name_H-M 'P 1'
_symmetry_Int_Tables_number 1
_cell_length_a 7.443
_cell_length_b 7.443
_cell_length_c 7.443
_cell_angle_alpha 60.00
_cell_angle_beta 60.00
_cell_angle_gamma 60.00
loop_
_symmetry_equiv_pos_as_xyz
'x,y,z'
loop_
_atom_site_label
_atom_site_type_symbol
_atom_site_fract_x
_atom_site_fract_y
_atom_site_fract_z
Rb1 Rb 0.250 0.250 0.250
Rb2 Rb 0.750 0.750 0.750
Li1 Li 0.000 0.000 0.000
Sb1 Sb 0.500 0.500 0.500
Cl1 Cl 0.247 0.247 0.753
Cl2 Cl 0.247 0.753 0.247
Cl3 Cl 0.247 0.753 0.753
Cl4 Cl 0.753 0.247 0.247
Cl5 Cl 0.753 0.247 0.753
Cl6 Cl 0.753 0.753 0.247
```

---

4.
Simulated powder diffraction line list of Rb2LiScCl6 for a wavelength of 1.5418 Å, from a crystal structure in the Materials Project, relaxed with GGA-PBE.
Neutral-atom scattering factors, no anomalous dispersion.

Peak list (12 most intense, 2θ from 15° to 90°, by angle)
Position (°2θ)	I/Imax
24.61	49
30.26	100
35.08	82
43.32	22
50.45	53
56.91	10
59.97	36
62.93	17
68.64	12
74.13	8
82.11	15
84.73	22

```
data_Rb2LiScCl6
_symmetry_space_group_name_H-M 'P 1'
_symmetry_Int_Tables_number 1
_cell_length_a 7.235
_cell_length_b 7.235
_cell_length_c 7.235
_cell_angle_alpha 60.00
_cell_angle_beta 60.00
_cell_angle_gamma 60.00
loop_
_symmetry_equiv_pos_as_xyz
'x,y,z'
loop_
_atom_site_label
_atom_site_type_symbol
_atom_site_fract_x
_atom_site_fract_y
_atom_site_fract_z
Rb1 Rb 0.250 0.250 0.250
Rb2 Rb 0.750 0.750 0.750
Li1 Li 0.000 0.000 0.000
Sc1 Sc 0.500 0.500 0.500
Cl1 Cl 0.255 0.255 0.745
Cl2 Cl 0.255 0.745 0.255
Cl3 Cl 0.255 0.745 0.745
Cl4 Cl 0.745 0.255 0.255
Cl5 Cl 0.745 0.255 0.745
Cl6 Cl 0.745 0.745 0.255
```